Computed powder XRD pattern of K2InHgCl6 for λ = 1.5418 Å (Cu Kα), from DFT lattice parameters and positions (PBE).
Lines closer than 0.1° are merged.

Main lines, by angle (5 to 70 degrees two-theta):
two_theta  I (rel.)
16.45  100
23.34  99
33.25  72
37.31  52
41.02  46
47.73  48
50.83  27
53.79  22
59.41  16
64.72  24

Atomic structure:
Unit cell a=10.778 b=10.778 c=10.778 alpha=90.00 beta=90.00 gamma=90.00
Space group Fm-3m (No. 225)
One atom of each set of equivalent atoms:
K 0.250 0.250 0.250 [8 per cell]
In 0.000 0.000 0.000 [4 per cell]
Hg 0.000 0.000 0.500 [4 per cell]
Cl 0.000 0.000 0.239 [24 per cell]